[1]
This entry pairs a crystal structure of MgCd2Br6 with its calculated PXRD pattern. Radiation: Cu Kα (λ = 1.5418 Å). Structure: the GGA-PBE geometry in Alexandria.
Peak positions follow from Bragg's law for the DFT cell and can differ from measured ones.

Principal peaks in the range 15 to 90 degrees two-theta, in order of falling intensity:
2θ = 31.0°, I 100.0
2θ = 43.4°, I 23.2
2θ = 45.3°, I 23.0
2θ = 39.8°, I 18.5
2θ = 45.5°, I 11.8
2θ = 56.1°, I 11.7
2θ = 43.1°, I 11.6
2θ = 64.5°, I 10.1

Structure:
Lattice parameters (Å, degrees): 9.273 9.273 8.404 106.35 106.35 24.81
Atoms (fractional coordinates):
Mg1 0.000 0.000 0.000
Cd1 0.335 0.335 0.667
Cd2 0.665 0.665 0.333
Br1 0.156 0.156 0.092
Br2 0.172 0.172 0.572
Br3 0.498 0.498 0.777
Br4 0.502 0.502 0.223
Br5 0.828 0.828 0.428
Br6 0.844 0.844 0.908

=====

[2]
This entry pairs a crystal structure of MnCdBr2 with its calculated PXRD pattern. Radiation: Cu Kα (λ = 1.5418 Å). Structure: the GGA-PBE geometry in Alexandria.
Peak positions follow from Bragg's law for the DFT cell and can differ from measured ones.

Principal peaks in the range 15 to 90 degrees two-theta, in order of falling intensity:
2θ = 30.2°, I 100.0
2θ = 26.5°, I 74.9
2θ = 15.3°, I 38.7
2θ = 39.5°, I 36.5
2θ = 38.1°, I 35.7
2θ = 29.4°, I 26.9
2θ = 41.6°, I 26.9
2θ = 31.1°, I 24.3

Structure:
Lattice parameters (Å, degrees): 5.772 3.692 6.241 90.00 111.81 90.00
Atoms (fractional coordinates):
Mn1 0.000 0.000 0.000
Cd1 0.709 0.500 0.166
Br1 0.060 0.500 0.735
Br2 0.406 0.000 0.338

=====

[3]
This entry pairs a crystal structure of Mn3CdBr9 with its calculated PXRD pattern. Radiation: Cu Kα (λ = 1.5418 Å). Structure: the GGA-PBE geometry in Alexandria.
Peak positions follow from Bragg's law for the DFT cell and can differ from measured ones.

Principal peaks in the range 15 to 90 degrees two-theta, in order of falling intensity:
2θ = 16.1°, I 100.0
2θ = 27.9°, I 57.7
2θ = 22.2°, I 42.4
2θ = 27.2°, I 41.5
2θ = 26.4°, I 39.3
2θ = 25.2°, I 38.8
2θ = 17.8°, I 36.8
2θ = 30.5°, I 35.1

Structure:
Lattice parameters (Å, degrees): 10.640 10.640 13.246 123.92 123.92 53.15
Atoms (fractional coordinates):
Mn1 0.061 0.939 0.500
Mn2 0.278 0.531 0.613
Mn3 0.531 0.278 0.113
Mn4 0.555 0.697 0.453
Mn5 0.697 0.555 0.953
Mn6 0.939 0.061 0.000
Cd1 0.039 0.485 0.782
Cd2 0.485 0.039 0.282
Br1 0.021 0.752 0.530
Br2 0.047 0.787 0.846
Br3 0.141 0.143 0.711
Br4 0.143 0.141 0.211
Br5 0.180 0.363 0.594
Br6 0.254 0.757 0.370
Br7 0.343 0.472 0.995
Br8 0.363 0.180 0.094
Br9 0.433 0.701 0.799
Br10 0.472 0.343 0.495
Br11 0.564 0.935 0.476
Br12 0.616 0.702 0.144
Br13 0.701 0.433 0.299
Br14 0.702 0.616 0.644
Br15 0.752 0.021 0.030
Br16 0.757 0.254 0.870
Br17 0.787 0.047 0.346
Br18 0.935 0.564 0.976

=====

[4]
This entry pairs a crystal structure of NaMnCdBr5 with its calculated PXRD pattern. Radiation: Cu Kα (λ = 1.5418 Å). Structure: the GGA-PBE geometry in Alexandria.
Peak positions follow from Bragg's law for the DFT cell and can differ from measured ones.

Principal peaks in the range 15 to 90 degrees two-theta, in order of falling intensity:
2θ = 27.9°, I 100.0
2θ = 24.2°, I 90.8
2θ = 24.4°, I 88.5
2θ = 19.3°, I 67.4
2θ = 37.3°, I 64.9
2θ = 39.1°, I 59.8
2θ = 27.6°, I 54.8
2θ = 41.5°, I 53.0

Structure:
Lattice parameters (Å, degrees): 7.589 7.589 10.058 103.81 103.81 105.84
Atoms (fractional coordinates):
Na1 0.150 0.850 0.750
Na2 0.850 0.150 0.250
Mn1 0.183 0.817 0.250
Mn2 0.817 0.183 0.750
Cd1 0.500 0.500 0.000
Cd2 0.500 0.500 0.500
Br1 0.118 0.229 0.943
Br2 0.159 0.561 0.368
Br3 0.229 0.118 0.443
Br4 0.403 0.597 0.750
Br5 0.439 0.841 0.132
Br6 0.561 0.159 0.868
Br7 0.597 0.403 0.250
Br8 0.771 0.882 0.557
Br9 0.841 0.439 0.632
Br10 0.882 0.771 0.057

=====

[5]
This entry pairs a crystal structure of CdMoBr3 with its calculated PXRD pattern. Radiation: Cu Kα (λ = 1.5418 Å). Structure: the GGA-PBE geometry in Alexandria.
Peak positions follow from Bragg's law for the DFT cell and can differ from measured ones.

Principal peaks in the range 15 to 90 degrees two-theta, in order of falling intensity:
2θ = 33.7°, I 100.0
2θ = 48.4°, I 69.9
2θ = 29.1°, I 65.0
2θ = 23.7°, I 40.5
2θ = 80.8°, I 30.8
2θ = 57.5°, I 27.2
2θ = 60.3°, I 23.7
2θ = 41.6°, I 17.9

Structure:
Lattice parameters (Å, degrees): 5.317 5.317 5.317 90.00 90.00 90.00
Atoms (fractional coordinates):
Cd1 0.000 0.000 0.000
Mo1 0.500 0.500 0.500
Br1 0.000 0.500 0.500
Br2 0.500 0.000 0.500
Br3 0.500 0.500 0.000

=====

[6]
This entry pairs a crystal structure of CdSiMoBr with its calculated PXRD pattern. Radiation: Cu Kα (λ = 1.5418 Å). Structure: the GGA-PBE geometry in Alexandria.
Peak positions follow from Bragg's law for the DFT cell and can differ from measured ones.

Principal peaks in the range 15 to 90 degrees two-theta, in order of falling intensity:
2θ = 32.9°, I 100.0
2θ = 37.6°, I 41.1
2θ = 55.6°, I 26.1
2θ = 37.7°, I 20.4
2θ = 44.5°, I 18.5
2θ = 30.9°, I 16.3
2θ = 41.6°, I 12.6
2θ = 66.1°, I 12.5

Structure:
Lattice parameters (Å, degrees): 3.308 3.309 8.689 89.76 89.90 60.01
Atoms (fractional coordinates):
Cd1 0.000 0.000 0.000
Si1 0.333 0.338 0.565
Mo1 0.666 0.670 0.742
Br1 0.333 0.339 0.300

=====

[7]
This entry pairs a crystal structure of CdSe2BrN with its calculated PXRD pattern. Radiation: Cu Kα (λ = 1.5418 Å). Structure: the GGA-PBE geometry in Alexandria.
Peak positions follow from Bragg's law for the DFT cell and can differ from measured ones.

Principal peaks in the range 15 to 90 degrees two-theta, in order of falling intensity:
2θ = 33.8°, I 100.0
2θ = 39.2°, I 38.5
2θ = 67.6°, I 26.1
2θ = 56.8°, I 25.0
2θ = 39.4°, I 18.9
2θ = 67.9°, I 12.8
2θ = 56.6°, I 12.6
2θ = 71.1°, I 12.5

Structure:
Lattice parameters (Å, degrees): 4.600 4.600 4.572 90.00 90.00 90.00
Atoms (fractional coordinates):
Cd1 0.000 0.000 0.000
Se1 0.000 0.500 0.500
Se2 0.500 0.000 0.500
Br1 0.500 0.500 0.000
N1 0.500 0.500 0.500

=====

[8]
This entry pairs a crystal structure of Na5CdBr8 with its calculated PXRD pattern. Radiation: Cu Kα (λ = 1.5418 Å). Structure: the GGA-PBE geometry in Alexandria.
Peak positions follow from Bragg's law for the DFT cell and can differ from measured ones.

Principal peaks in the range 15 to 90 degrees two-theta, in order of falling intensity:
2θ = 25.3°, I 100.0
2θ = 41.8°, I 93.0
2θ = 29.2°, I 60.5
2θ = 49.5°, I 43.9
2θ = 76.4°, I 28.0
2θ = 24.2°, I 23.8
2θ = 68.7°, I 17.9
2θ = 66.8°, I 17.2

Structure:
Lattice parameters (Å, degrees): 8.636 8.636 8.636 60.00 60.00 60.00
Atoms (fractional coordinates):
Na1 0.000 0.000 0.000
Na2 0.118 0.627 0.627
Na3 0.627 0.118 0.627
Na4 0.627 0.627 0.118
Na5 0.627 0.627 0.627
Cd1 0.250 0.250 0.250
Br1 0.376 0.376 0.376
Br2 0.376 0.376 0.871
Br3 0.376 0.871 0.376
Br4 0.399 0.867 0.867
Br5 0.867 0.399 0.867
Br6 0.867 0.867 0.399
Br7 0.867 0.867 0.867
Br8 0.871 0.376 0.376